No. 1
Computed X-ray diffraction stick pattern of Sm2ThSc7 for Cu Kα (weighted mean of Kα1 and Kα2), from DFT lattice parameters and positions (GGA-PBE).

Cell: 13.9865 13.9865 3.3147 Å, 90.00 90.00 154.77°
Positions (direct):
Sm 0.2090 0.7910 0.0000
Sm 0.7910 0.2090 0.0000
Th 0.5000 0.5000 0.5000
Sc 0.0000 0.0000 0.0000
Sc 0.1567 0.3523 0.0000
Sc 0.3183 0.6817 0.5000
Sc 0.3523 0.1567 0.0000
Sc 0.6477 0.8433 0.0000
Sc 0.6817 0.3183 0.5000
Sc 0.8433 0.6477 0.0000

The 10 most intense peaks (2θ from 15° to 90°), low angle first:
2θ (°)  d_spacing  I_rel
17.49  5.072  57
27.13  3.287  49
30.87  2.897  49
32.11  2.788  47
32.81  2.730  40
34.91  2.570  100
35.40  2.536  28
40.71  2.216  32
43.05  2.101  25
55.58  1.654  24

***

No. 2
Computed X-ray diffraction stick pattern of Sm3Th2Sc for Cu Kα (weighted mean of Kα1 and Kα2), from DFT lattice parameters and positions (GGA-PBE).

Cell: 9.9718 3.5773 10.6231 Å, 90.00 90.72 90.00°
Positions (direct):
Sm 0.1208 0.2500 0.2509
Sm 0.1438 0.2500 0.9153
Sm 0.3733 0.7500 0.4143
Sm 0.6267 0.2500 0.5857
Sm 0.8562 0.7500 0.0847
Sm 0.8792 0.7500 0.7491
Th 0.1278 0.2500 0.5845
Th 0.3882 0.7500 0.0861
Th 0.6118 0.2500 0.9139
Th 0.8722 0.7500 0.4155
Sc 0.3733 0.7500 0.7491
Sc 0.6267 0.2500 0.2509

The 10 most intense peaks (2θ from 15° to 90°), low angle first:
2θ (°)  d_spacing  I_rel
30.77  2.906  100
31.17  2.870  32
35.68  2.517  46
36.03  2.493  21
51.06  1.789  9
51.36  1.779  16
51.86  1.763  15
60.82  1.523  10
61.07  1.517  19
61.53  1.507  18

***

No. 3
Computed X-ray diffraction stick pattern of SmTh4Sc6 for Cu Kα (weighted mean of Kα1 and Kα2), from DFT lattice parameters and positions (GGA-PBE).

Cell: 8.6292 8.6292 5.1205 Å, 90.00 90.00 120.00°
Positions (direct):
Sm 0.0000 0.0000 0.0000
Th 0.3333 0.6667 0.0000
Th 0.3936 0.1968 0.5000
Th 0.8032 0.1968 0.5000
Th 0.8032 0.6064 0.5000
Sc 0.2127 0.4255 0.5000
Sc 0.2127 0.7873 0.5000
Sc 0.5385 0.0770 0.0000
Sc 0.5385 0.4615 0.0000
Sc 0.5745 0.7873 0.5000
Sc 0.9230 0.4615 0.0000

The 10 most intense peaks (2θ from 15° to 90°), low angle first:
2θ (°)  d_spacing  I_rel
21.03  4.224  87
23.81  3.737  100
27.02  3.299  97
29.60  3.018  87
31.68  2.825  59
35.05  2.560  54
36.32  2.473  88
40.26  2.240  80
41.88  2.157  43
42.82  2.112  45

***

No. 4
Computed X-ray diffraction stick pattern of Sm8ThSc3 for Cu Kα (weighted mean of Kα1 and Kα2), from DFT lattice parameters and positions (GGA-PBE).

Cell: 8.5590 8.5590 8.5590 Å, 134.72 100.95 96.11°
Positions (direct):
Sm 0.0819 0.2470 0.8348
Sm 0.2181 0.2739 0.4919
Sm 0.2181 0.7261 0.9442
Sm 0.4122 0.2470 0.1652
Sm 0.5878 0.7530 0.8348
Sm 0.7819 0.2739 0.0558
Sm 0.7819 0.7261 0.5081
Sm 0.9181 0.7530 0.1652
Th 0.5000 0.5000 0.0000
Sc 0.0000 0.0000 0.0000
Sc 0.2205 0.7205 0.5000
Sc 0.7795 0.2795 0.5000

The 10 most intense peaks (2θ from 15° to 90°), low angle first:
2θ (°)  d_spacing  I_rel
15.51  5.712  22
15.72  5.639  52
16.27  5.447  26
25.74  3.461  20
31.30  2.858  100
32.20  2.780  87
35.49  2.529  75
36.54  2.459  30
45.17  2.007  19
58.43  1.579  19

***

No. 5
Computed X-ray diffraction stick pattern of Sm2Th6Sc5 for Cu Kα (weighted mean of Kα1 and Kα2), from DFT lattice parameters and positions (GGA-PBE).

Cell: 11.5381 19.5770 3.4530 Å, 90.00 90.00 90.00°
Positions (direct):
Sm 0.1590 0.2204 0.0000
Sm 0.3410 0.7204 0.0000
Sm 0.6590 0.2796 0.0000
Sm 0.8410 0.7796 0.0000
Th 0.0594 0.9229 0.0000
Th 0.0701 0.6342 0.0000
Th 0.1940 0.3855 0.5000
Th 0.3060 0.8855 0.5000
Th 0.4299 0.1342 0.0000
Th 0.4406 0.4229 0.0000
Th 0.5594 0.5771 0.0000
Th 0.5701 0.8658 0.0000
Th 0.6940 0.1145 0.5000
Th 0.8060 0.6145 0.5000
Th 0.9299 0.3658 0.0000
Th 0.9406 0.0771 0.0000
Sc 0.0000 0.5000 0.5000
Sc 0.0975 0.7760 0.5000
Sc 0.2030 0.0553 0.5000
Sc 0.2970 0.5553 0.5000
Sc 0.4025 0.2760 0.5000
Sc 0.5000 0.0000 0.5000
Sc 0.5975 0.7240 0.5000
Sc 0.7030 0.4447 0.5000
Sc 0.7970 0.9447 0.5000
Sc 0.9025 0.2240 0.5000

The 10 most intense peaks (2θ from 15° to 90°), low angle first:
2θ (°)  d_spacing  I_rel
18.13  4.894  40
28.47  3.135  46
30.16  2.963  37
31.35  2.854  63
32.65  2.743  36
32.95  2.718  54
33.21  2.698  100
33.98  2.638  31
35.42  2.535  54
42.32  2.136  26

***

No. 6
Computed X-ray diffraction stick pattern of SmTh2Sc6 for Cu Kα (weighted mean of Kα1 and Kα2), from DFT lattice parameters and positions (GGA-PBE).

Cell: 3.3938 3.3938 24.7653 Å, 90.00 90.00 120.00°
Positions (direct):
Sm 0.0000 0.0000 0.0000
Th 0.3333 0.6667 0.3295
Th 0.3333 0.6667 0.6705
Sc 0.0000 0.0000 0.2145
Sc 0.0000 0.0000 0.4395
Sc 0.0000 0.0000 0.5605
Sc 0.0000 0.0000 0.7855
Sc 0.3333 0.6667 0.1132
Sc 0.3333 0.6667 0.8868

The 10 most intense peaks (2θ from 15° to 90°), low angle first:
2θ (°)  d_spacing  I_rel
21.53  4.128  45
30.41  2.939  59
31.28  2.860  50
32.33  2.769  63
32.54  2.752  53
33.76  2.655  71
35.52  2.528  100
37.57  2.394  43
54.04  1.697  39
64.52  1.444  43